Record 1
# Na3AcHg4
Simulated powder diffractogram, Cu Ka. Input: the PBE geometry in Alexandria.

Main lines, by angle (10 to 90 degrees two-theta):
| 2θ (°) | intensity |
| --- | --- |
| 23.19 | 505 |
| 32.95 | 1000 |
| 33.10 | 981 |
| 47.40 | 365 |
| 58.90 | 577 |
| 59.23 | 185 |
| 78.80 | 168 |
| 79.05 | 163 |

Structure:
Lattice parameters (Å, degrees): 9.3610 9.3610 9.3610 33.76 33.76 33.76
Sites, in units of the cell vectors:
Na (0.0000, 0.0000, 0.0000)
Na (0.2540, 0.2540, 0.2540)
Na (0.7460, 0.7460, 0.7460)
Ac (0.5000, 0.5000, 0.5000)
Hg (0.1226, 0.1226, 0.1226)
Hg (0.3754, 0.3754, 0.3754)
Hg (0.6246, 0.6246, 0.6246)
Hg (0.8774, 0.8774, 0.8774)


Record 2
# Na3AcHg7
Simulated powder diffractogram, Cu Ka. Input: the PBE geometry in Alexandria.

Main lines, by angle (10 to 90 degrees two-theta):
| 2θ (°) | intensity |
| --- | --- |
| 19.70 | 622 |
| 29.04 | 1000 |
| 29.19 | 865 |
| 32.57 | 766 |
| 33.31 | 984 |
| 33.57 | 734 |
| 36.67 | 906 |
| 60.32 | 596 |

Structure:
Lattice parameters (Å, degrees): 10.9203 10.9203 16.5158 90.00 90.00 160.30
Sites, in units of the cell vectors:
Na (0.1147, 0.8853, 0.5078)
Na (0.1147, 0.8853, 0.9922)
Na (0.2336, 0.7664, 0.2500)
Na (0.7664, 0.2336, 0.7500)
Na (0.8853, 0.1147, 0.0078)
Na (0.8853, 0.1147, 0.4922)
Ac (0.0136, 0.9864, 0.2500)
Ac (0.9864, 0.0136, 0.7500)
Hg (0.2482, 0.7518, 0.5786)
Hg (0.2482, 0.7518, 0.9214)
Hg (0.3717, 0.6283, 0.6550)
Hg (0.3717, 0.6283, 0.8450)
Hg (0.3784, 0.6216, 0.2500)
Hg (0.4910, 0.5090, 0.0859)
Hg (0.4910, 0.5090, 0.4141)
Hg (0.5090, 0.4910, 0.5859)
Hg (0.5090, 0.4910, 0.9141)
Hg (0.6216, 0.3784, 0.7500)
Hg (0.6283, 0.3717, 0.1550)
Hg (0.6283, 0.3717, 0.3450)
Hg (0.7518, 0.2482, 0.0786)
Hg (0.7518, 0.2482, 0.4214)


Record 3
# Na2AcHg9
Simulated powder diffractogram, Cu Ka. Input: the PBE geometry in Alexandria.

Main lines, by angle (10 to 90 degrees two-theta):
| 2θ (°) | intensity |
| --- | --- |
| 31.04 | 370 |
| 31.19 | 212 |
| 32.13 | 215 |
| 32.94 | 1000 |
| 33.23 | 382 |
| 37.41 | 297 |
| 40.51 | 285 |
| 64.67 | 197 |

Structure:
Lattice parameters (Å, degrees): 6.1603 6.6198 8.8255 80.91 69.63 89.95
Sites, in units of the cell vectors:
Na (0.1801, 0.3672, 0.1417)
Na (0.8199, 0.6328, 0.8583)
Ac (0.5000, 0.5000, 0.5000)
Hg (0.0066, 0.7627, 0.4865)
Hg (0.0816, 0.1857, 0.8463)
Hg (0.3306, 0.7325, 0.8369)
Hg (0.4272, 0.8154, 0.1538)
Hg (0.5000, 0.0000, 0.5000)
Hg (0.5728, 0.1846, 0.8462)
Hg (0.6694, 0.2675, 0.1631)
Hg (0.9184, 0.8143, 0.1537)
Hg (0.9934, 0.2373, 0.5135)


Record 4
# NaAcPm2Hg4
Simulated powder diffractogram, Cu Ka. Input: the PBE geometry in Alexandria.

Main lines, by angle (10 to 90 degrees two-theta):
| 2θ (°) | intensity |
| --- | --- |
| 32.43 | 999 |
| 33.42 | 1000 |
| 47.26 | 414 |
| 57.21 | 158 |
| 59.11 | 397 |
| 59.74 | 193 |
| 77.82 | 144 |
| 79.47 | 161 |

Structure:
Lattice parameters (Å, degrees): 9.6657 9.6657 9.6657 32.21 32.21 32.21
Sites, in units of the cell vectors:
Na (0.0000, 0.0000, 0.0000)
Ac (0.5000, 0.5000, 0.5000)
Pm (0.2575, 0.2575, 0.2575)
Pm (0.7425, 0.7425, 0.7425)
Hg (0.1172, 0.1172, 0.1172)
Hg (0.3732, 0.3732, 0.3732)
Hg (0.6268, 0.6268, 0.6268)
Hg (0.8828, 0.8828, 0.8828)


Record 5
# AcNd3Hg3
Simulated powder diffractogram, Cu Ka. Input: the PBE geometry in Alexandria.

Main lines, by angle (10 to 90 degrees two-theta):
| 2θ (°) | intensity |
| --- | --- |
| 23.86 | 241 |
| 28.67 | 1000 |
| 30.02 | 578 |
| 30.50 | 489 |
| 32.08 | 605 |
| 34.94 | 580 |
| 35.83 | 486 |
| 38.27 | 473 |

Structure:
Lattice parameters (Å, degrees): 8.0927 8.0927 8.0927 73.33 73.33 73.33
Sites, in units of the cell vectors:
Ac (0.1337, 0.1337, 0.1337)
Ac (0.8663, 0.8663, 0.8663)
Nd (0.1676, 0.6597, 0.4161)
Nd (0.3403, 0.5839, 0.8324)
Nd (0.4161, 0.1676, 0.6597)
Nd (0.5839, 0.8324, 0.3403)
Nd (0.6597, 0.4161, 0.1676)
Nd (0.8324, 0.3403, 0.5839)
Hg (0.0119, 0.4492, 0.8111)
Hg (0.1889, 0.9881, 0.5508)
Hg (0.4492, 0.8111, 0.0119)
Hg (0.5508, 0.1889, 0.9881)
Hg (0.8111, 0.0119, 0.4492)
Hg (0.9881, 0.5508, 0.1889)


Record 6
# Ac5Nd4Hg4
Simulated powder diffractogram, Cu Ka. Input: the PBE geometry in Alexandria.

Main lines, by angle (10 to 90 degrees two-theta):
| 2θ (°) | intensity |
| --- | --- |
| 26.38 | 327 |
| 29.74 | 1000 |
| 30.48 | 201 |
| 32.79 | 309 |
| 33.68 | 329 |
| 34.87 | 187 |
| 49.26 | 143 |
| 57.82 | 157 |

Structure:
Lattice parameters (Å, degrees): 9.6500 9.6500 9.6500 94.36 94.36 147.98
Sites, in units of the cell vectors:
Ac (0.0000, 0.0000, 0.0000)
Ac (0.3073, 0.6265, 0.9338)
Ac (0.3735, 0.3073, 0.6808)
Ac (0.6265, 0.6927, 0.3192)
Ac (0.6927, 0.3735, 0.0662)
Nd (0.0961, 0.4035, 0.4996)
Nd (0.4035, 0.9039, 0.3073)
Nd (0.5965, 0.0961, 0.6927)
Nd (0.9039, 0.5965, 0.5004)
Hg (0.0804, 0.7561, 0.8365)
Hg (0.2439, 0.0804, 0.3244)
Hg (0.7561, 0.9196, 0.6756)
Hg (0.9196, 0.2439, 0.1635)


Record 7
# AcNd4Hg
Simulated powder diffractogram, Cu Ka. Input: the PBE geometry in Alexandria.

Main lines, by angle (10 to 90 degrees two-theta):
| 2θ (°) | intensity |
| --- | --- |
| 26.23 | 361 |
| 29.58 | 680 |
| 30.36 | 1000 |
| 32.13 | 457 |
| 35.29 | 381 |
| 42.90 | 501 |
| 52.81 | 181 |
| 55.35 | 179 |

Structure:
Lattice parameters (Å, degrees): 9.0004 9.0004 8.5786 90.00 90.00 141.82
Sites, in units of the cell vectors:
Ac (0.1202, 0.8798, 0.5000)
Ac (0.8798, 0.1202, 0.0000)
Nd (0.0853, 0.9147, 0.9694)
Nd (0.2575, 0.7425, 0.1736)
Nd (0.2876, 0.7124, 0.8025)
Nd (0.4973, 0.5027, 0.2149)
Nd (0.5027, 0.4973, 0.7149)
Nd (0.7124, 0.2876, 0.3025)
Nd (0.7425, 0.2575, 0.6736)
Nd (0.9147, 0.0853, 0.4694)
Hg (0.3495, 0.6505, 0.4709)
Hg (0.6505, 0.3495, 0.9709)


Record 8
# AcNdHg4
Simulated powder diffractogram, Cu Ka. Input: the PBE geometry in Alexandria.

Main lines, by angle (10 to 90 degrees two-theta):
| 2θ (°) | intensity |
| --- | --- |
| 31.60 | 1000 |
| 31.73 | 513 |
| 34.89 | 454 |
| 35.25 | 878 |
| 47.87 | 333 |
| 49.59 | 171 |
| 62.06 | 176 |
| 62.29 | 345 |

Structure:
Lattice parameters (Å, degrees): 3.6767 5.1427 8.7920 90.00 90.00 90.00
Sites, in units of the cell vectors:
Ac (0.0000, 0.0000, 0.0000)
Nd (0.0000, 0.5000, 0.5000)
Hg (0.5000, 0.0000, 0.3375)
Hg (0.5000, 0.0000, 0.6625)
Hg (0.5000, 0.5000, 0.1731)
Hg (0.5000, 0.5000, 0.8269)